Diffraction record for Na2VCu3S4. The XRD peak list is computed, not measured: it uses a cell relaxed with GGA-PBE and Cu Ka.

Top 10 peaks for 2θ = 15–90°, low angle first:
hkl 2 0 -2, 2θ 26.6, I = 59
hkl 0 0 2, 2θ 29.7, I = 97
hkl 3 1 1, 2θ 37.6, I = 100
hkl 6 0 0, 2θ 39.5, I = 20
hkl 0 2 0, 2θ 47.0, I = 99
hkl 5 1 1, 2θ 48.2, I = 57
hkl 8 0 -2, 2θ 48.3, I = 17
hkl 2 2 0, 2θ 48.9, I = 23
hkl 0 0 4, 2θ 61.6, I = 20
hkl 3 1 3, 2θ 62.9, I = 18

Crystal structure
```
data_Na2VCu3S4
_symmetry_space_group_name_H-M 'C 1 m 1'
_symmetry_Int_Tables_number 8
_symmetry_space_group_name_Hall 'C -2y'
_cell_length_a 15.2327
_cell_length_b 3.8705
_cell_length_c 6.6975
_cell_angle_alpha 90.00
_cell_angle_beta 115.94
_cell_angle_gamma 90.00
loop_
_atom_site_label
_atom_site_type_symbol
_atom_site_fract_x
_atom_site_fract_y
_atom_site_fract_z
Na1 Na 0.0000 0.0000 0.0000
Na2 Na 0.0017 0.5000 0.4932
V1 V 0.3054 0.5000 0.4611
Cu1 Cu 0.1809 0.5000 0.9998
Cu2 Cu 0.1818 0.0000 0.5247
Cu3 Cu 0.2977 0.0000 0.9717
S1 S 0.1228 0.0000 0.7876
S2 S 0.1387 0.5000 0.2987
S3 S 0.3570 0.0000 0.6847
S4 S 0.3619 0.5000 0.1918
```